Entry 1:
Simulated X-ray diffraction stick pattern of Ce2PrY3Tm6 for Cu Kα (λ = 1.5418 Å), from a DFT-relaxed cell (GGA-PBE, Alexandria).
Peak positions follow from Bragg's law for the DFT cell and can differ from measured ones.

Structural model:
```
data_Ce2PrY3Tm6
_chemical_formula_sum 'Ce4 Pr2 Y6 Tm12'
_cell_length_a 6.1235
_cell_length_b 10.6033
_cell_length_c 11.6718
_cell_angle_alpha 90.00
_cell_angle_beta 100.07
_cell_angle_gamma 90.00
_symmetry_space_group_name_H-M 'C 1 2/m 1'
_symmetry_Int_Tables_number 12
loop_
_symmetry_equiv_pos_as_xyz
'x,y,z'
'-x,-y,-z'
'-x,y,-z'
'x,-y,z'
'x+1/2,y+1/2,z'
'-x+1/2,-y+1/2,-z'
'-x+1/2,y+1/2,-z'
'x+1/2,-y+1/2,z'
loop_
_atom_site_label
_atom_site_fract_x
_atom_site_fract_y
_atom_site_fract_z
_atom_site_occupancy
Ce1 0.0000 0.1668 0.0000 1
Pr1 0.0000 0.5000 0.0000 1
Y1 0.0000 0.0000 0.5000 1
Y2 0.0000 0.3337 0.5000 1
Tm1 0.2472 0.0000 0.2494 1
Tm2 0.2484 0.1681 0.7505 1
```

Top 10 peaks for 2θ from 10° to 90°, low angle first:
2theta  I_rel
31.0  100.0
31.1  33.0
36.0  67.1
51.7  23.8
51.9  23.6
61.6  42.1
61.8  13.9
64.6  12.1
84.5  11.7
87.2  10.9



Entry 2:
Simulated X-ray diffraction stick pattern of Ce2PrY for Cu Kα (λ = 1.5418 Å), from a DFT-relaxed cell (GGA-PBE, Alexandria).
Peak positions follow from Bragg's law for the DFT cell and can differ from measured ones.

Structural model:
```
data_Ce2PrY
_chemical_formula_sum 'Ce6 Pr3 Y3'
_cell_length_a 3.5314
_cell_length_b 3.5314
_cell_length_c 35.2698
_cell_angle_alpha 90.00
_cell_angle_beta 90.00
_cell_angle_gamma 120.00
_symmetry_space_group_name_H-M 'R 3 m'
_symmetry_Int_Tables_number 160
_symmetry_space_group_name_Hall 'R 3 -2"'
loop_
_atom_site_label
_atom_site_fract_x
_atom_site_fract_y
_atom_site_fract_z
_atom_site_occupancy
Ce1 0.0000 0.0000 0.0000 1
Ce2 0.0000 0.0000 0.1692 1
Pr1 0.0000 0.0000 0.4165 1
Y1 0.0000 0.0000 0.5855 1
```

Top 10 peaks for 2θ from 10° to 90°, low angle first:
2theta  I_rel
29.6  24.8
30.4  52.6
30.9  18.1
31.9  100.0
34.3  72.9
39.0  16.6
51.8  35.6
53.4  25.5
61.2  42.3
86.1  23.1



Entry 3:
Simulated X-ray diffraction stick pattern of CePrY3 for Cu Kα (λ = 1.5418 Å), from a DFT-relaxed cell (GGA-PBE, Alexandria).
Peak positions follow from Bragg's law for the DFT cell and can differ from measured ones.

Structural model:
```
data_CePrY3
_chemical_formula_sum 'Ce2 Pr2 Y6'
_cell_length_a 6.2245
_cell_length_b 6.2439
_cell_length_c 9.5032
_cell_angle_alpha 102.69
_cell_angle_beta 108.82
_cell_angle_gamma 99.97
_symmetry_space_group_name_H-M 'P -1'
_symmetry_Int_Tables_number 2
loop_
_symmetry_equiv_pos_as_xyz
'x,y,z'
'-x,-y,-z'
loop_
_atom_site_label
_atom_site_fract_x
_atom_site_fract_y
_atom_site_fract_z
_atom_site_occupancy
Ce1 0.0945 0.0465 0.3551 1
Pr1 0.0975 0.5478 0.8457 1
Y1 0.2957 0.1476 0.0496 1
Y2 0.3028 0.6497 0.5509 1
Y3 0.4992 0.2416 0.7466 1
```

Top 10 peaks for 2θ from 10° to 90°, low angle first:
2theta  I_rel
30.4  100.0
30.5  98.6
35.2  33.2
35.3  65.6
50.7  23.3
50.9  22.7
60.1  13.8
60.3  20.3
60.4  26.9
60.5  13.6



Entry 4:
Simulated X-ray diffraction stick pattern of CePr4Y2 for Cu Kα (λ = 1.5418 Å), from a DFT-relaxed cell (GGA-PBE, Alexandria).
Peak positions follow from Bragg's law for the DFT cell and can differ from measured ones.

Structural model:
```
data_CePr4Y2
_chemical_formula_sum 'Ce2 Pr8 Y4'
_cell_length_a 6.3384
_cell_length_b 3.6604
_cell_length_c 20.7765
_cell_angle_alpha 90.00
_cell_angle_beta 90.00
_cell_angle_gamma 90.00
_symmetry_space_group_name_H-M 'C 1 m 1'
_symmetry_Int_Tables_number 8
loop_
_symmetry_equiv_pos_as_xyz
'x,y,z'
'x,-y,z'
'x+1/2,y+1/2,z'
'x+1/2,-y+1/2,z'
loop_
_atom_site_label
_atom_site_fract_x
_atom_site_fract_y
_atom_site_fract_z
_atom_site_occupancy
Ce1 0.0000 0.0000 0.0000 1
Pr1 0.1649 0.5000 0.1410 1
Pr2 0.1685 0.5000 0.8582 1
Pr3 0.3323 0.0000 0.4267 1
Pr4 0.3344 0.0000 0.7101 1
Y1 0.0003 0.0000 0.5695 1
Y2 0.4981 0.5000 0.2844 1
```

Top 10 peaks for 2θ from 10° to 90°, low angle first:
2theta  I_rel
28.5  46.2
30.1  52.5
31.0  100.0
33.1  88.6
38.5  17.4
49.8  38.6
52.7  21.0
56.7  19.7
59.3  45.3
84.0  16.6



Entry 5:
Simulated X-ray diffraction stick pattern of CePr6Y5 for Cu Kα (λ = 1.5418 Å), from a DFT-relaxed cell (GGA-PBE, Alexandria).
Peak positions follow from Bragg's law for the DFT cell and can differ from measured ones.

Structural model:
```
data_CePr6Y5
_chemical_formula_sum 'Ce1 Pr6 Y5'
_cell_length_a 6.2858
_cell_length_b 7.3122
_cell_length_c 9.6404
_cell_angle_alpha 112.20
_cell_angle_beta 90.73
_cell_angle_gamma 90.01
_symmetry_space_group_name_H-M 'P -1'
_symmetry_Int_Tables_number 2
loop_
_symmetry_equiv_pos_as_xyz
'x,y,z'
'-x,-y,-z'
loop_
_atom_site_label
_atom_site_fract_x
_atom_site_fract_y
_atom_site_fract_z
_atom_site_occupancy
Ce1 0.0000 0.0000 0.0000 1
Pr1 0.1658 0.4124 0.3306 1
Pr2 0.1656 0.9179 0.3304 1
Pr3 0.4999 0.2450 0.9997 1
Y1 0.0000 0.5000 0.0000 1
Y2 0.3311 0.8330 0.6661 1
Y3 0.3330 0.3331 0.6659 1
```

Top 10 peaks for 2θ from 10° to 90°, low angle first:
2theta  I_rel
30.0  100.0
34.7  34.1
35.2  16.4
49.8  12.0
50.2  23.6
59.2  7.1
59.3  17.7
59.9  13.7
62.4  6.1
81.6  8.4



Entry 6:
Simulated X-ray diffraction stick pattern of Ce7Pt3 for Cu Kα (λ = 1.5418 Å), from a DFT-relaxed cell (GGA-PBE, Alexandria).
Peak positions follow from Bragg's law for the DFT cell and can differ from measured ones.

Structural model:
```
data_Ce7Pt3
_chemical_formula_sum 'Ce14 Pt6'
_cell_length_a 9.9430
_cell_length_b 9.9430
_cell_length_c 6.1632
_cell_angle_alpha 90.00
_cell_angle_beta 90.00
_cell_angle_gamma 120.00
_symmetry_space_group_name_H-M 'P 63 m c'
_symmetry_Int_Tables_number 186
_symmetry_space_group_name_Hall 'P 6c -2c'
loop_
_atom_site_label
_atom_site_fract_x
_atom_site_fract_y
_atom_site_fract_z
_atom_site_occupancy
Ce1 0.0769 0.5384 0.0000 1
Ce2 0.1307 0.2614 0.7335 1
Ce3 0.3333 0.6667 0.5457 1
Pt1 0.1887 0.3774 0.2751 1
```

Top 10 peaks for 2θ from 10° to 90°, low angle first:
2theta  I_rel
30.8  36.5
31.1  100.0
34.5  85.4
35.8  74.5
36.1  73.2
40.3  24.4
50.8  24.8
55.0  18.7
55.4  32.2
69.9  27.4